This entry pairs a crystal structure of Rb3LiTbV2O8 with its computed powder diffractogram. Radiation: Cu Kα, 1.54184 Å. Structure: a DFT-relaxed cell (GGA+U, Alexandria).

Main lines, by angle (10° ≤ 2θ ≤ 90°):
d [Å], I_rel
4.600, 43
3.591, 96
2.995, 100
2.795, 46
2.300, 31
1.824, 27

Structural model:
```
Rb3LiTbV2O8
1.0
5.989 0.000 0.000
-2.995 5.187 0.000
0.000 0.000 9.952
Rb Li Tb V O
3 1 1 2 8
Direct
0.000 0.000 0.000
0.333 0.667 0.522
0.667 0.333 0.279
0.000 0.000 0.675
0.667 0.333 0.664
0.000 0.000 0.439
0.333 0.667 0.865
0.000 0.000 0.264
0.018 0.509 0.800
0.312 0.156 0.528
0.333 0.667 0.036
0.491 0.509 0.800
0.491 0.982 0.800
0.844 0.156 0.528
0.844 0.688 0.528
```